For ScTl2W, a crystal structure in Alexandria, relaxed with PBE gives the calculated powder diffractogram in this record (Cu Kα).
Peak positions follow from Bragg's law for the DFT cell and can differ from measured ones.

Cell and atoms:
Cell lengths 3.0644, 4.9687, 12.2188 Å; angles 90.00, 90.00, 90.00 degrees
Space group Imm2 (No. 44)
Unique sites:
Sc: 0.0000 0.0000 0.0000
Tl: 0.0000 0.0000 0.5941
Tl: 0.0000 0.5000 0.8101
W: 0.0000 0.5000 0.3081

Largest 6 diffraction maxima, by angle, 2θ = 10–80°:
hkl, d/Å, I_rel
0 0 2, 6.109, 20.9
0 0 4, 3.055, 36.9
0 2 0, 2.484, 30.3
1 1 2, 2.399, 100.0
0 2 4, 1.927, 20.3
1 3 2, 1.417, 19.5